# 1
Starting from a cell relaxed with GGA-PBE, the powder XRD pattern of Ce2B10W was calculated for a wavelength of 1.5418 Å.
Kinematic intensities with the Lorentz-polarization factor, no thermal factor.

Structure:
a = 5.8033 Å, b = 11.5563 Å, c = 4.1809 Å
α = 90.00°, β = 90.00°, γ = 90.00°
Space group Pbam (No. 55)
Unique sites:
Ce (0.2261, 0.1330, 0.0000) x4
B (0.0743, 0.3047, 0.5000) x4
B (0.1146, 0.9566, 0.5000) x4
B (0.1194, 0.8022, 0.5000) x4
B (0.2348, 0.3788, 0.1998) x8
W (0.0000, 0.5000, 0.5000) x2

Largest 10 diffraction maxima, most intense first, 5° ≤ 2θ ≤ 70°:
| 2θ (°) | d/Å | I/Imax | (hkl) |
| --- | --- | --- | --- |
| 30.56 | 2.925 | 100 | 1 2 1 |
| 37.85 | 2.377 | 81 | 0 4 1 |
| 37.74 | 2.384 | 79 | 2 0 1 |
| 21.70 | 4.095 | 68 | 1 2 0 |
| 27.40 | 3.255 | 64 | 1 1 1 |
| 44.24 | 2.047 | 51 | 2 4 0 |
| 17.10 | 5.186 | 51 | 1 1 0 |
| 26.31 | 3.387 | 35 | 0 2 1 |
| 27.80 | 3.209 | 32 | 1 3 0 |
| 15.33 | 5.778 | 31 | 0 2 0 |

# 2
Starting from a cell relaxed with GGA-PBE, the powder XRD pattern of HoP3Pd5 was calculated for a wavelength of 1.5418 Å.
Kinematic intensities with the Lorentz-polarization factor, no thermal factor.

Structure:
a = 3.8773 Å, b = 13.4315 Å, c = 11.7252 Å
α = 90.00°, β = 90.00°, γ = 90.00°
Space group Cmcm (No. 63)
Unique sites:
Ho (0.0000, 0.1050, 0.2500) x4
P (0.0000, 0.1451, 0.7500) x4
P (0.0000, 0.4107, 0.5759) x8
Pd (0.0000, 0.0000, 0.0000) x4
Pd (0.0000, 0.2405, 0.5852) x8
Pd (0.0000, 0.4058, 0.1346) x8

Largest 10 diffraction maxima, most intense first, 5° ≤ 2θ ≤ 70°:
| 2θ (°) | d/Å | I/Imax | (hkl) |
| --- | --- | --- | --- |
| 31.46 | 2.843 | 100 | 1 3 1 |
| 39.10 | 2.304 | 75 | 1 1 4 |
| 30.68 | 2.914 | 53 | 0 4 2 |
| 33.22 | 2.697 | 40 | 1 1 3 |
| 46.86 | 1.939 | 37 | 2 0 0 |
| 43.81 | 2.066 | 27 | 1 5 2 |
| 26.38 | 3.378 | 24 | 0 2 3 |
| 40.76 | 2.214 | 19 | 0 2 5 |
| 34.20 | 2.622 | 19 | 1 3 2 |
| 47.28 | 1.923 | 19 | 0 4 5 |

# 3
Starting from a cell relaxed with GGA-PBE, the powder XRD pattern of SiO2 was calculated for a wavelength of 1.5418 Å.
Kinematic intensities with the Lorentz-polarization factor, no thermal factor.

Structure:
a = 7.0431 Å, b = 8.3700 Å, c = 5.4891 Å
α = 90.00°, β = 100.00°, γ = 90.00°
Space group Cc (No. 9)
Unique sites:
Si (0.0000, 0.0516, 0.0000) x4
Si (0.4394, 0.0750, 0.5746) x4
O (0.0102, 0.2441, 0.0330) x4
O (0.0208, 0.4682, 0.3644) x4
O (0.2058, 0.0449, 0.5291) x4
O (0.3891, 0.4829, 0.2170) x4

Largest 10 diffraction maxima, most intense first, 5° ≤ 2θ ≤ 70°:
| 2θ (°) | d/Å | I/Imax | (hkl) |
| --- | --- | --- | --- |
| 21.23 | 4.185 | 100 | 0 2 0 |
| 25.69 | 3.468 | 68 | 2 0 0 |
| 21.77 | 4.082 | 50 | 1 1 -1 |
| 24.96 | 3.568 | 31 | 1 1 1 |
| 33.15 | 2.703 | 25 | 0 0 2 |
| 16.60 | 5.341 | 13 | 1 1 0 |
| 37.54 | 2.396 | 12 | 1 3 -1 |
| 33.56 | 2.670 | 11 | 2 2 0 |
| 35.15 | 2.553 | 11 | 1 1 -2 |
| 35.45 | 2.532 | 11 | 2 2 -1 |